# 1
Diffraction record for LaCe2Te4. The powder diffractogram is calculated, not measured: it uses a cell relaxed with PBE and copper Kα.
Kinematic intensities with the Lorentz-polarization factor, no thermal factor.

Largest 10 diffraction maxima, in order of falling intensity, 2θ = 10–90°:
(hkl), 2θ (°), Rel. int.
1 0 3, 29.4, 100
3 2 1, 35.0, 73
1 1 6, 59.4, 28
3 1 4, 48.4, 17
2 2 4, 46.4, 16
4 0 2, 42.1, 16
5 2 5, 72.4, 16
4 1 5, 62.8, 15
6 0 2, 61.1, 12
3 2 3, 44.3, 11

abc: 9.588 9.588 9.600
angles: 90.00 90.00 90.00
Space group I-42d (No. 122)
One atom of each set of equivalent atoms:
La  0.000  0.000  0.000 [4 per cell]
Ce  0.126  0.250  0.625 [8 per cell]
Te  0.077  0.173  0.300 [16 per cell]



# 2
Diffraction record for La3Ce3TmTe8. The powder diffractogram is calculated, not measured: it uses a cell relaxed with PBE and copper Kα.
Kinematic intensities with the Lorentz-polarization factor, no thermal factor.

Largest 10 diffraction maxima, in order of falling intensity, 2θ = 10–90°:
(hkl), 2θ (°), Rel. int.
4 0 0, 27.9, 100
2 2 2, 39.8, 25
6 2 -2, 40.0, 25
4 4 0, 49.5, 14
4 0 -4, 39.7, 13
8 0 0, 57.7, 13
0 4 0, 40.1, 13
10 2 -2, 65.4, 12
6 2 2, 65.2, 12
0 0 4, 49.1, 7

abc: 15.642 9.001 9.081
angles: 90.00 125.17 90.00
Space group C2/m (No. 12)
One atom of each set of equivalent atoms:
La  0.000  0.000  0.000 [2 per cell]
La  0.250  0.250  0.000 [4 per cell]
Ce  0.000  0.500  0.500 [2 per cell]
Ce  0.250  0.250  0.500 [4 per cell]
Tm  0.000  0.000  0.500 [2 per cell]
Te  0.002  0.246  0.259 [8 per cell]
Te  0.244  0.000  0.741 [4 per cell]
Te  0.248  0.500  0.745 [4 per cell]



# 3
Diffraction record for LaCeTh3. The powder diffractogram is calculated, not measured: it uses a cell relaxed with PBE and copper Kα.
Kinematic intensities with the Lorentz-polarization factor, no thermal factor.

Largest 10 diffraction maxima, in order of falling intensity, 2θ = 10–90°:
(hkl), 2θ (°), Rel. int.
1 0 3, 30.4, 100
1 0 4, 31.5, 89
1 0 6, 34.5, 82
0 0 10, 30.7, 69
1 1 10, 61.0, 61
1 0 7, 36.3, 58
1 1 0, 51.3, 52
1 0 13, 50.4, 26
1 1 20, 86.3, 22
1 0 16, 58.9, 20

abc: 3.5605 3.5605 29.1080
angles: 90.00 90.00 120.00
Space group P6_3mc (No. 186)
One atom of each set of equivalent atoms:
La  0.3333  0.6667  0.0000 [2 per cell]
Ce  0.0000  0.0000  0.3024 [2 per cell]
Th  0.0000  0.0000  0.1045 [2 per cell]
Th  0.3333  0.6667  0.3981 [2 per cell]
Th  0.3333  0.6667  0.7040 [2 per cell]



# 4
Diffraction record for La2CeTh12. The powder diffractogram is calculated, not measured: it uses a cell relaxed with PBE and copper Kα.
Kinematic intensities with the Lorentz-polarization factor, no thermal factor.

Largest 10 diffraction maxima, in order of falling intensity, 2θ = 10–90°:
(hkl), 2θ (°), Rel. int.
0 2 0, 30.8, 100
0 1 8, 32.5, 42
1 1 6, 37.1, 39
0 1 7, 29.4, 31
1 1 4, 33.3, 17
2 0 0, 52.6, 14
2 2 0, 62.2, 14
2 1 8, 63.3, 13
1 3 2, 54.8, 11
1 3 6, 58.9, 10

abc: 3.478 5.809 24.988
angles: 90.00 90.00 90.00
Space group Pmmm (No. 47)
One atom of each set of equivalent atoms:
La  0.000  0.000  0.234 [2 per cell]
Ce  0.000  0.000  0.500 [1 per cell]
Th  0.000  0.500  0.063 [2 per cell]
Th  0.000  0.500  0.432 [2 per cell]
Th  0.500  0.000  0.080 [2 per cell]
Th  0.500  0.000  0.377 [2 per cell]
Th  0.500  0.500  0.178 [2 per cell]
Th  0.500  0.500  0.309 [2 per cell]



# 5
Diffraction record for La2Ce2Tl7. The powder diffractogram is calculated, not measured: it uses a cell relaxed with PBE and copper Kα.
Kinematic intensities with the Lorentz-polarization factor, no thermal factor.

Largest 10 diffraction maxima, in order of falling intensity, 2θ = 10–90°:
(hkl), 2θ (°), Rel. int.
3 3 -1, 34.6, 100
2 2 1, 30.5, 89
2 0 -2, 35.3, 57
1 3 1, 31.0, 47
4 0 0, 31.7, 30
0 4 0, 30.4, 25
5 1 0, 40.7, 23
4 0 -1, 32.4, 22
1 3 -1, 28.7, 21
4 6 1, 63.0, 21

abc: 11.635 11.780 5.208
angles: 90.00 104.11 90.00
Space group C2/m (No. 12)
One atom of each set of equivalent atoms:
La  0.000  0.227  0.000 [4 per cell]
Ce  0.243  0.000  0.177 [4 per cell]
Tl  0.000  0.000  0.500 [2 per cell]
Tl  0.070  0.500  0.275 [4 per cell]
Tl  0.212  0.181  0.697 [8 per cell]



# 6
Diffraction record for La2CeTl9. The powder diffractogram is calculated, not measured: it uses a cell relaxed with PBE and copper Kα.
Kinematic intensities with the Lorentz-polarization factor, no thermal factor.

Largest 10 diffraction maxima, in order of falling intensity, 2θ = 10–90°:
(hkl), 2θ (°), Rel. int.
1 1 3, 31.8, 100
2 0 0, 36.9, 51
3 1 3, 63.3, 43
2 2 0, 53.1, 36
3 3 3, 87.2, 18
2 2 6, 66.4, 12
4 0 0, 78.5, 6
1 0 0, 18.2, 2
1 1 0, 25.9, 2
1 0 6, 41.4, 1

abc: 4.874 4.874 14.621
angles: 90.00 90.00 90.00
Space group P4/mmm (No. 123)
One atom of each set of equivalent atoms:
La  0.000  0.000  0.168 [2 per cell]
Ce  0.000  0.000  0.500 [1 per cell]
Tl  0.000  0.500  0.000 [2 per cell]
Tl  0.000  0.500  0.336 [4 per cell]
Tl  0.500  0.500  0.167 [2 per cell]
Tl  0.500  0.500  0.500 [1 per cell]



# 7
Diffraction record for LaCeTm14. The powder diffractogram is calculated, not measured: it uses a cell relaxed with PBE and copper Kα.
Kinematic intensities with the Lorentz-polarization factor, no thermal factor.

Largest 10 diffraction maxima, in order of falling intensity, 2θ = 10–90°:
(hkl), 2θ (°), Rel. int.
2 2 2, 33.3, 100
4 0 0, 31.5, 50
2 0 4, 33.4, 48
1 2 2, 30.3, 40
6 2 2, 57.3, 31
4 2 6, 62.1, 29
0 2 6, 52.0, 25
3 2 2, 37.8, 22
1 0 4, 30.4, 20
2 4 4, 63.0, 16

abc: 11.349 7.073 12.172
angles: 90.00 90.00 90.00
Space group Amm2 (No. 38)
One atom of each set of equivalent atoms:
La  0.000  0.000  0.000 [2 per cell]
Ce  0.000  0.000  0.500 [2 per cell]
Tm  0.000  0.250  0.251 [4 per cell]
Tm  0.251  0.000  0.667 [4 per cell]
Tm  0.254  0.000  0.168 [4 per cell]
Tm  0.255  0.248  0.417 [8 per cell]
Tm  0.500  0.000  0.334 [2 per cell]
Tm  0.500  0.000  0.834 [2 per cell]
Tm  0.500  0.250  0.085 [4 per cell]



# 8
Diffraction record for La2CeTm4. The powder diffractogram is calculated, not measured: it uses a cell relaxed with PBE and copper Kα.
Kinematic intensities with the Lorentz-polarization factor, no thermal factor.

Largest 10 diffraction maxima, in order of falling intensity, 2θ = 10–90°:
(hkl), 2θ (°), Rel. int.
2 0 3, 33.2, 100
2 0 -4, 32.4, 98
0 0 7, 31.0, 56
0 2 7, 60.9, 49
0 2 0, 51.0, 43
1 1 0, 28.8, 31
2 0 10, 57.0, 22
2 0 -11, 55.6, 18
0 2 14, 86.6, 17
1 1 -1, 29.0, 17

abc: 6.204 3.578 20.316
angles: 90.00 95.80 90.00
Space group Cm (No. 8)
One atom of each set of equivalent atoms:
La  0.000  0.000  0.000 [2 per cell]
La  0.093  0.000  0.291 [2 per cell]
Ce  0.185  0.000  0.576 [2 per cell]
Tm  0.279  0.000  0.851 [2 per cell]
Tm  0.310  0.500  0.435 [2 per cell]
Tm  0.379  0.000  0.148 [2 per cell]
Tm  0.402  0.500  0.716 [2 per cell]



# 9
Diffraction record for LaCeTm4. The powder diffractogram is calculated, not measured: it uses a cell relaxed with PBE and copper Kα.
Kinematic intensities with the Lorentz-polarization factor, no thermal factor.

Largest 10 diffraction maxima, in order of falling intensity, 2θ = 10–90°:
(hkl), 2θ (°), Rel. int.
0 1 3, 31.4, 100
1 1 2, 36.1, 95
0 2 0, 30.8, 59
1 0 1, 28.3, 47
2 0 0, 55.1, 32
1 2 1, 42.3, 32
2 1 3, 64.8, 25
1 2 5, 63.6, 25
1 3 2, 58.2, 24
1 0 5, 54.2, 20

abc: 3.330 5.810 9.824
angles: 90.00 90.00 90.00
Space group Pmmm (No. 47)
One atom of each set of equivalent atoms:
La  0.000  0.000  0.000 [1 per cell]
Ce  0.500  0.500  0.500 [1 per cell]
Tm  0.000  0.500  0.194 [2 per cell]
Tm  0.500  0.000  0.322 [2 per cell]



# 10
Diffraction record for La5CeTm. The powder diffractogram is calculated, not measured: it uses a cell relaxed with PBE and copper Kα.
Kinematic intensities with the Lorentz-polarization factor, no thermal factor.

Largest 10 diffraction maxima, in order of falling intensity, 2θ = 10–90°:
(hkl), 2θ (°), Rel. int.
2 1 0, 30.5, 100
1 1 2, 27.7, 91
1 -1 0, 28.0, 84
0 1 -2, 32.0, 70
0 2 2, 34.3, 47
2 3 2, 46.6, 40
1 2 0, 28.1, 40
2 0 2, 44.7, 28
2 2 -2, 44.9, 28
0 2 0, 31.6, 28

abc: 5.858 6.562 7.721
angles: 76.28 89.77 63.60
Space group P-1 (No. 2)
One atom of each set of equivalent atoms:
La  0.000  0.000  0.000 [1 per cell]
La  0.290  0.420  0.178 [2 per cell]
La  0.319  0.361  0.615 [2 per cell]
Ce  0.000  0.000  0.500 [1 per cell]
Tm  0.500  0.000  0.000 [1 per cell]



# 11
Diffraction record for La8CeTm3. The powder diffractogram is calculated, not measured: it uses a cell relaxed with PBE and copper Kα.
Kinematic intensities with the Lorentz-polarization factor, no thermal factor.

Largest 10 diffraction maxima, in order of falling intensity, 2θ = 10–90°:
(hkl), 2θ (°), Rel. int.
3 1 2, 35.8, 100
2 2 0, 28.8, 75
0 0 4, 30.5, 64
2 0 2, 25.4, 50
2 1 1, 23.9, 48
2 2 4, 42.4, 46
2 1 3, 32.3, 37
1 1 2, 20.8, 35
3 1 6, 57.7, 35
5 1 2, 55.7, 35

abc: 8.767 8.767 11.732
angles: 90.00 90.00 90.00
Space group I-42m (No. 121)
One atom of each set of equivalent atoms:
La  0.120  0.120  0.260 [8 per cell]
La  0.233  0.233  0.523 [8 per cell]
Ce  0.000  0.000  0.500 [2 per cell]
Tm  0.000  0.000  0.000 [2 per cell]
Tm  0.000  0.500  0.250 [4 per cell]



# 12
Diffraction record for La6CeTm3. The powder diffractogram is calculated, not measured: it uses a cell relaxed with PBE and copper Kα.
Kinematic intensities with the Lorentz-polarization factor, no thermal factor.

Largest 10 diffraction maxima, in order of falling intensity, 2θ = 10–90°:
(hkl), 2θ (°), Rel. int.
3 0 0, 31.1, 100
1 1 3, 28.4, 62
3 3 0, 55.3, 24
1 0 4, 31.2, 22
4 -2 3, 42.6, 19
4 -3 4, 48.4, 19
4 1 3, 53.7, 18
2 1 4, 40.6, 18
6 0 0, 64.9, 16
3 0 6, 55.5, 11

abc: 9.9635 9.9635 12.1495
angles: 90.00 90.00 120.00
Space group R3 (No. 146, hexagonal axes)
One atom of each set of equivalent atoms:
La  0.0004  0.3129  0.0000 [9 per cell]
La  0.0006  0.6751  0.4999 [9 per cell]
Ce  0.0000  0.0000  0.0009 [3 per cell]
Tm  0.0000  0.0000  0.2498 [3 per cell]
Tm  0.0000  0.0000  0.5004 [3 per cell]
Tm  0.0000  0.0000  0.7506 [3 per cell]